Simulated XRD peak list of Sr4AsAu for Cu Kα, 1.54184 Å, from a crystal structure in Alexandria, relaxed with PBE.

Structure:
Cell lengths 9.639, 9.639, 9.639 Å; angles 90.00, 90.00, 90.00 degrees
Space group F-43m (No. 216)
Symmetry-distinct sites (fractional):
Sr1 0.124 0.124 0.124 [16 per cell]
As1 0.250 0.250 0.750 [4 per cell]
Au1 0.000 0.000 0.500 [4 per cell]

Most intense lines, 10 to 80 degrees two-theta, most intense first:
d [Å]	I_rel
2.906	100
3.408	39
1.855	36
2.782	29
1.704	28
1.255	23
1.968	17
1.470	13
1.453	12
1.288	9